For RbZn2MoF8, a crystal structure in Alexandria, relaxed with PBE+U gives the theoretical powder XRD pattern in this record (Cu Kα).

Atomic structure:
```
RbZn2MoF8
1.0
2.697 1.557 8.059
-2.697 1.557 8.059
0.000 -3.114 8.059
Rb Zn Mo F
1 2 1 8
direct
0.000 0.000 0.000
0.248 0.248 0.248
0.752 0.752 0.752
0.500 0.500 0.500
0.129 0.455 0.763
0.237 0.871 0.545
0.324 0.324 0.324
0.455 0.763 0.129
0.545 0.237 0.871
0.676 0.676 0.676
0.763 0.129 0.455
0.871 0.545 0.237
```

Peak list (10 most intense, 2θ = 15–90°, low angle first)
d_spacing  I (rel.)
3.696  100.0
2.697  40.4
2.537  29.4
2.241  9.0
2.178  21.6
1.848  12.9
1.695  20.2
1.614  26.8
1.557  16.0
1.524  12.9